This entry pairs a crystal structure of Ce2Mg with its computed powder XRD pattern. Radiation: λ = 1.5418 Å (Cu Kα). Structure: the PBE geometry in the Materials Project.
Neutral-atom scattering factors, no anomalous dispersion.

Most intense lines, 2θ from 10° to 90°, in order of rising 2θ:
- 2θ = 31.5°, intensity 69
- 2θ = 33.7°, intensity 100
- 2θ = 34.1°, intensity 49
- 2θ = 35.9°, intensity 76
- 2θ = 47.1°, intensity 44
- 2θ = 56.0°, intensity 32

Crystal structure
```
6
Lattice="1.6036 -9.2343 0.0000 1.6036 9.2343 0.0000 0.0000 0.0000 5.2542" Properties=species:S:1:pos:R:3 pbc="T T T"
Ce 1.6036 6.8967 3.9407
Ce 1.6036 5.4791 1.3136
Ce 1.6036 -5.4791 3.9407
Ce 1.6036 -6.8967 1.3136
Mg 1.6036 0.7433 3.9407
Mg 1.6036 -0.7433 1.3136
```